Structure and calculated X-ray diffraction stick pattern of Pm4Y8Th (the GGA-PBE geometry in Alexandria; Cu Kα, 1.54184 Å).
Kinematic intensities with the Lorentz-polarization factor, no thermal factor.

Top 12 peaks for 2θ = 15–90°, low angle first:
| 2θ (°) | d (Å) | I/Imax |
| --- | --- | --- |
| 15.99 | 5.543 | 12 |
| 19.61 | 4.526 | 13 |
| 25.41 | 3.506 | 11 |
| 27.88 | 3.200 | 6 |
| 32.30 | 2.772 | 100 |
| 34.32 | 2.613 | 5 |
| 38.07 | 2.364 | 7 |
| 46.33 | 1.960 | 18 |
| 47.84 | 1.901 | 4 |
| 57.60 | 1.600 | 37 |
| 67.60 | 1.386 | 11 |
| 76.92 | 1.239 | 15 |

Crystal structure
abc: 11.0922 11.0922 13.5630
angles: 90.00 90.00 120.00
Space group R-3m (No. 166, hexagonal axes)
One atom of each set of equivalent atoms:
Pm 0.0000 0.0000 0.0000 x3
Pm 0.0000 0.5000 0.0000 x9
Y 0.0000 0.0000 0.2413 x6
Y 0.0115 0.5058 0.7468 x18
Th 0.0000 0.0000 0.5000 x3

=====

Structure and calculated X-ray diffraction stick pattern of Y5Zn4Ga (the GGA-PBE geometry in Alexandria; Cu Kα, 1.54184 Å).
Kinematic intensities with the Lorentz-polarization factor, no thermal factor.

Top 9 peaks for 2θ = 15–90°, low angle first:
| 2θ (°) | d (Å) | I/Imax |
| --- | --- | --- |
| 24.86 | 3.581 | 2 |
| 35.45 | 2.532 | 100 |
| 50.93 | 1.793 | 6 |
| 51.03 | 1.790 | 11 |
| 57.54 | 1.602 | 1 |
| 63.64 | 1.462 | 34 |
| 75.01 | 1.266 | 10 |
| 85.68 | 1.134 | 5 |
| 85.85 | 1.132 | 10 |

Crystal structure
abc: 3.5792 3.5792 17.9299
angles: 90.00 90.00 90.00
Space group P4/mmm (No. 123)
One atom of each set of equivalent atoms:
Y 0.0000 0.0000 0.0000 x1
Y 0.0000 0.0000 0.1998 x2
Y 0.0000 0.0000 0.3992 x2
Zn 0.5000 0.5000 0.1006 x2
Zn 0.5000 0.5000 0.2982 x2
Ga 0.5000 0.5000 0.5000 x1

=====

Structure and calculated X-ray diffraction stick pattern of V5Ni7 (the GGA-PBE geometry in Alexandria; Cu Kα, 1.54184 Å).
Kinematic intensities with the Lorentz-polarization factor, no thermal factor.

Top 10 peaks for 2θ = 15–90°, low angle first:
| 2θ (°) | d (Å) | I/Imax |
| --- | --- | --- |
| 21.76 | 4.084 | 1 |
| 43.46 | 2.082 | 100 |
| 49.63 | 1.837 | 16 |
| 50.65 | 1.802 | 15 |
| 51.57 | 1.772 | 15 |
| 73.58 | 1.287 | 5 |
| 73.69 | 1.286 | 5 |
| 74.38 | 1.275 | 9 |
| 75.19 | 1.264 | 9 |
| 88.78 | 1.102 | 11 |

Crystal structure
abc: 8.1883 3.5444 10.2868
angles: 90.00 109.39 90.00
Space group C2/m (No. 12)
One atom of each set of equivalent atoms:
V 0.0000 0.0000 0.0000 x2
V 0.0097 0.0000 0.7520 x4
V 0.1687 0.5000 0.4214 x4
Ni 0.0000 0.0000 0.5000 x2
Ni 0.1633 0.5000 0.1660 x4
Ni 0.1683 0.5000 0.9160 x4
Ni 0.1694 0.5000 0.6680 x4

=====

Copy entry 1 word for word.
Structure and calculated X-ray diffraction stick pattern of Pm4Y8Th (the GGA-PBE geometry in Alexandria; Cu Kα, 1.54184 Å).
Kinematic intensities with the Lorentz-polarization factor, no thermal factor.

Top 12 peaks for 2θ = 15–90°, low angle first:
| 2θ (°) | d (Å) | I/Imax |
| --- | --- | --- |
| 15.99 | 5.543 | 12 |
| 19.61 | 4.526 | 13 |
| 25.41 | 3.506 | 11 |
| 27.88 | 3.200 | 6 |
| 32.30 | 2.772 | 100 |
| 34.32 | 2.613 | 5 |
| 38.07 | 2.364 | 7 |
| 46.33 | 1.960 | 18 |
| 47.84 | 1.901 | 4 |
| 57.60 | 1.600 | 37 |
| 67.60 | 1.386 | 11 |
| 76.92 | 1.239 | 15 |

Crystal structure
abc: 11.0922 11.0922 13.5630
angles: 90.00 90.00 120.00
Space group R-3m (No. 166, hexagonal axes)
One atom of each set of equivalent atoms:
Pm 0.0000 0.0000 0.0000 x3
Pm 0.0000 0.5000 0.0000 x9
Y 0.0000 0.0000 0.2413 x6
Y 0.0115 0.5058 0.7468 x18
Th 0.0000 0.0000 0.5000 x3